[1]
For TcW2, the PBE geometry in Alexandria gives the theoretical XRD peak list in this record (CuKα).

Principal peaks in the range 2θ from 10° to 90°, in order of falling intensity:
| Position (°2θ) | d (Å) | intensity | hkl |
| --- | --- | --- | --- |
| 39.64 | 2.273 | 100.0 | 0 3 1 |
| 40.68 | 2.218 | 57.5 | 1 1 1 |
| 39.02 | 2.308 | 44.6 | 1 0 1 |
| 41.45 | 2.178 | 44.5 | 0 0 2 |
| 40.08 | 2.250 | 33.6 | 1 2 0 |
| 47.76 | 1.904 | 24.9 | 1 3 0 |

Structural model:
abc: 2.722 7.995 4.356
angles: 90.00 90.00 90.00
Space group Pnnm (No. 58)
Unique sites:
Tc  0.000  0.000  0.000 [2 per cell]
W  0.157  0.339  0.000 [4 per cell]

[2]
For Nd4DyTm2Th, the PBE geometry in Alexandria gives the theoretical XRD peak list in this record (CuKα).

Principal peaks in the range 2θ from 10° to 90°, in order of falling intensity:
| Position (°2θ) | d (Å) | intensity | hkl |
| --- | --- | --- | --- |
| 30.36 | 2.944 | 100.0 | 1 1 2 |
| 35.26 | 2.545 | 33.6 | 4 0 0 |
| 60.27 | 1.536 | 28.8 | 5 1 2 |
| 50.57 | 1.805 | 24.3 | 4 2 0 |
| 35.06 | 2.560 | 17.1 | 0 2 0 |
| 59.99 | 1.542 | 14.6 | 1 3 2 |

Structural model:
abc: 11.391 5.119 10.181
angles: 90.00 116.66 90.00
Space group C2/m (No. 12)
Unique sites:
Nd  0.248  0.000  0.123 [4 per cell]
Nd  0.249  0.500  0.373 [4 per cell]
Dy  0.000  0.500  0.500 [2 per cell]
Tm  0.001  0.000  0.248 [4 per cell]
Th  0.000  0.500  0.000 [2 per cell]

[3]
For MoRh4W, the PBE geometry in Alexandria gives the theoretical XRD peak list in this record (CuKα).

Principal peaks in the range 2θ from 10° to 90°, in order of falling intensity:
| Position (°2θ) | d (Å) | intensity | hkl |
| --- | --- | --- | --- |
| 40.05 | 2.251 | 100.0 | 3 1 0 |
| 40.33 | 2.236 | 98.1 | 1 1 -2 |
| 46.54 | 1.952 | 64.7 | 2 0 2 |
| 47.16 | 1.927 | 31.1 | 0 2 0 |
| 68.37 | 1.372 | 30.2 | 2 2 2 |
| 81.69 | 1.179 | 24.7 | 5 1 2 |

Structural model:
abc: 8.761 3.854 5.492
angles: 90.00 108.22 90.00
Space group C2/m (No. 12)
Unique sites:
Mo  0.000  0.000  0.000 [2 per cell]
Rh  0.165  0.500  0.333 [4 per cell]
Rh  0.165  0.500  0.832 [4 per cell]
W  0.000  0.000  0.500 [2 per cell]

[4]
For AcLaPm2Dy5, the PBE geometry in Alexandria gives the theoretical XRD peak list in this record (CuKα).

Principal peaks in the range 2θ from 10° to 90°, in order of falling intensity:
| Position (°2θ) | d (Å) | intensity | hkl |
| --- | --- | --- | --- |
| 30.29 | 2.951 | 100.0 | 2 0 4 |
| 28.53 | 3.129 | 47.4 | 2 2 0 |
| 28.18 | 3.167 | 43.6 | 2 1 3 |
| 42.46 | 2.129 | 21.0 | 4 0 2 |
| 51.63 | 1.770 | 19.7 | 4 2 4 |
| 31.98 | 2.799 | 19.7 | 3 1 0 |

Structural model:
abc: 8.850 8.850 15.838
angles: 90.00 90.00 90.00
Space group I4/mcm (No. 140)
Unique sites:
Ac  0.000  0.000  0.250 [4 per cell]
La  0.000  0.500  0.250 [4 per cell]
Pm  0.118  0.382  0.000 [8 per cell]
Dy  0.000  0.000  0.000 [4 per cell]
Dy  0.204  0.296  0.369 [16 per cell]

[5]
For DyAu5, the PBE geometry in Alexandria gives the theoretical XRD peak list in this record (CuKα).

Principal peaks in the range 2θ from 10° to 90°, in order of falling intensity:
| Position (°2θ) | d (Å) | intensity | hkl |
| --- | --- | --- | --- |
| 36.09 | 2.489 | 100.0 | 1 1 -2 |
| 36.67 | 2.450 | 95.8 | 3 1 0 |
| 41.00 | 2.201 | 35.2 | 2 0 2 |
| 61.21 | 1.514 | 32.9 | 6 0 0 |
| 42.42 | 2.131 | 31.9 | 4 0 -2 |
| 43.34 | 2.088 | 30.2 | 0 2 0 |

Structural model:
abc: 9.503 4.175 6.202
angles: 90.00 107.17 90.00
Space group C2/m (No. 12)
Unique sites:
Dy  0.000  0.000  0.000 [2 per cell]
Au  0.000  0.000  0.500 [2 per cell]
Au  0.165  0.500  0.338 [4 per cell]
Au  0.166  0.500  0.826 [4 per cell]

[6]
For Ce2PbAu4, the PBE geometry in Alexandria gives the theoretical XRD peak list in this record (CuKα).

Principal peaks in the range 2θ from 10° to 90°, in order of falling intensity:
| Position (°2θ) | d (Å) | intensity | hkl |
| --- | --- | --- | --- |
| 35.85 | 2.505 | 100.0 | 1 1 0 |
| 35.47 | 2.531 | 97.3 | 0 1 8 |
| 64.19 | 1.451 | 35.4 | 1 2 8 |
| 51.32 | 1.780 | 34.4 | 2 0 8 |
| 64.43 | 1.446 | 18.5 | 3 0 0 |
| 86.76 | 1.122 | 16.4 | 3 1 8 |

Structural model:
abc: 5.0092 5.0092 24.9280
angles: 90.00 90.00 120.00
Space group R-3m (No. 166, hexagonal axes)
Unique sites:
Ce  0.0000  0.0000  0.2489 [6 per cell]
Pb  0.0000  0.0000  0.5000 [3 per cell]
Au  0.0000  0.0000  0.1189 [6 per cell]
Au  0.0000  0.0000  0.3693 [6 per cell]

[7]
For AcLa4Er2Tm, the PBE geometry in Alexandria gives the theoretical XRD peak list in this record (CuKα).

Principal peaks in the range 2θ from 10° to 90°, in order of falling intensity:
| Position (°2θ) | d (Å) | intensity | hkl |
| --- | --- | --- | --- |
| 29.69 | 3.009 | 100.0 | 3 1 -2 |
| 34.18 | 2.623 | 34.5 | 0 2 0 |
| 58.44 | 1.579 | 29.5 | 3 3 -2 |
| 49.63 | 1.837 | 24.1 | 4 2 0 |
| 34.87 | 2.573 | 16.4 | 4 0 0 |
| 59.36 | 1.557 | 14.1 | 7 1 -2 |

Structural model:
abc: 11.557 5.242 10.502
angles: 90.00 117.06 90.00
Space group C2/m (No. 12)
Unique sites:
Ac  0.000  0.000  0.000 [2 per cell]
La  0.246  0.000  0.869 [4 per cell]
La  0.248  0.500  0.623 [4 per cell]
Er  0.000  0.500  0.257 [4 per cell]
Tm  0.000  0.000  0.500 [2 per cell]

[8]
For Ti3PCl, the PBE geometry in Alexandria gives the theoretical XRD peak list in this record (CuKα).

Principal peaks in the range 2θ from 10° to 90°, in order of falling intensity:
| Position (°2θ) | d (Å) | intensity | hkl |
| --- | --- | --- | --- |
| 41.03 | 2.200 | 100.0 | 2 0 0 |
| 35.34 | 2.540 | 91.5 | 1 1 1 |
| 59.42 | 1.555 | 60.0 | 2 2 0 |
| 20.18 | 4.400 | 45.4 | 1 0 0 |
| 71.06 | 1.327 | 30.1 | 3 1 1 |
| 74.75 | 1.270 | 19.3 | 2 2 2 |

Structural model:
abc: 4.400 4.400 4.400
angles: 90.00 90.00 90.00
Space group Pm-3m (No. 221)
Unique sites:
Ti  0.000  0.000  0.500 [3 per cell]
P  0.500  0.500  0.500 [1 per cell]
Cl  0.000  0.000  0.000 [1 per cell]

[9]
For KTi3F9, the PBE geometry in Alexandria gives the theoretical XRD peak list in this record (CuKα).

Principal peaks in the range 2θ from 10° to 90°, in order of falling intensity:
| Position (°2θ) | d (Å) | intensity | hkl |
| --- | --- | --- | --- |
| 26.63 | 3.348 | 100.0 | 2 0 0 |
| 47.01 | 1.933 | 41.8 | 2 2 0 |
| 22.30 | 3.986 | 37.5 | 0 0 1 |
| 26.01 | 3.425 | 36.1 | 1 0 1 |
| 32.26 | 2.775 | 24.9 | 1 1 1 |
| 53.51 | 1.713 | 24.0 | 2 0 2 |

Structural model:
abc: 7.7318 7.7318 3.9862
angles: 90.00 90.00 120.00
Space group P6/mmm (No. 191)
Unique sites:
K  0.0000  0.0000  0.0000 [1 per cell]
Ti  0.0000  0.5000  0.5000 [3 per cell]
F  0.0000  0.5000  0.0000 [3 per cell]
F  0.2045  0.4091  0.5000 [6 per cell]

[10]
For Ac3AlGe4, the PBE geometry in Alexandria gives the theoretical XRD peak list in this record (CuKα).

Principal peaks in the range 2θ from 10° to 90°, in order of falling intensity:
| Position (°2θ) | d (Å) | intensity | hkl |
| --- | --- | --- | --- |
| 26.01 | 3.425 | 100.0 | 1 1 2 |
| 33.41 | 2.682 | 70.3 | 1 0 5 |
| 22.16 | 4.011 | 68.4 | 0 1 3 |
| 35.44 | 2.533 | 43.0 | 1 2 1 |
| 37.02 | 2.429 | 31.4 | 2 0 0 |
| 43.57 | 2.077 | 25.7 | 2 1 3 |

Structural model:
abc: 4.857 6.042 16.087
angles: 90.00 90.00 90.00
Space group Immm (No. 71)
Unique sites:
Ac  0.000  0.000  0.000 [2 per cell]
Ac  0.000  0.500  0.189 [4 per cell]
Al  0.000  0.000  0.500 [2 per cell]
Ge  0.000  0.292  0.378 [8 per cell]

[11]
For AcHf2NpO8, the PBE geometry in Alexandria gives the theoretical XRD peak list in this record (CuKα).

Principal peaks in the range 2θ from 10° to 90°, in order of falling intensity:
| Position (°2θ) | d (Å) | intensity | hkl |
| --- | --- | --- | --- |
| 31.36 | 2.852 | 100.0 | 1 1 2 |
| 24.27 | 3.668 | 57.2 | 0 2 0 |
| 24.90 | 3.576 | 51.3 | 2 0 0 |
| 47.38 | 1.919 | 40.7 | 1 3 2 |
| 48.09 | 1.892 | 36.1 | 3 1 2 |
| 35.05 | 2.560 | 32.3 | 2 2 0 |

Structural model:
abc: 7.151 7.336 6.868
angles: 90.00 90.00 90.00
Space group Cmmm (No. 65)
Unique sites:
Ac  0.000  0.000  0.000 [2 per cell]
Hf  0.000  0.500  0.254 [4 per cell]
Np  0.000  0.000  0.500 [2 per cell]
O  0.000  0.311  0.500 [4 per cell]
O  0.000  0.332  0.000 [4 per cell]
O  0.210  0.000  0.284 [8 per cell]

[12]
For CdAgHRh, the PBE geometry in Alexandria gives the theoretical XRD peak list in this record (CuKα).

Principal peaks in the range 2θ from 10° to 90°, in order of falling intensity:
| Position (°2θ) | d (Å) | intensity | hkl |
| --- | --- | --- | --- |
| 40.76 | 2.214 | 100.0 | 1 0 2 |
| 34.10 | 2.630 | 75.5 | 1 0 1 |
| 45.31 | 2.002 | 52.0 | 1 1 0 |
| 37.99 | 2.368 | 36.1 | 0 0 3 |
| 60.57 | 1.529 | 34.8 | 1 1 3 |
| 80.56 | 1.192 | 25.8 | 2 1 2 |

Structural model:
abc: 2.831 2.831 7.105
angles: 90.00 90.00 90.00
Space group P4mm (No. 99)
Unique sites:
Cd  0.000  0.000  0.000 [1 per cell]
Ag  0.500  0.500  0.317 [1 per cell]
H  0.000  0.000  0.662 [1 per cell]
Rh  0.500  0.500  0.705 [1 per cell]

Q: Which formula does entry 4 have?
A: AcLaPm2Dy5